For LiHg4, DFT lattice parameters and positions (GGA-PBE) gives the theoretical PXRD pattern in this record (Cu Kα, 1.54184 Å).
Neutral-atom scattering factors, no anomalous dispersion.

Most intense lines, 2θ from 5° to 70°, low angle first:
- 28.07°, rel. 49, hkl 0 0 2
- 28.28°, rel. 52, hkl 2 0 0
- 34.78°, rel. 100, hkl 2 1 1
- 40.27°, rel. 40, hkl 2 0 2
- 40.42°, rel. 11, hkl 2 2 0
- 49.94°, rel. 11, hkl 2 2 2
- 54.12°, rel. 26, hkl 2 1 3
- 54.31°, rel. 13, hkl 3 1 2
- 62.41°, rel. 47, hkl 4 1 1
- 69.81°, rel. 11, hkl 3 3 2

```
LiHg4
1.0
6.3113 0.0000 0.0000
0.0000 6.3113 0.0000
0.0000 0.0000 6.3571
Li Hg
2 8
Direct
0.2500 0.2500 0.0000
0.7500 0.7500 0.0000
0.0614 0.5614 0.2693
0.0614 0.9386 0.7307
0.4386 0.5614 0.7307
0.4386 0.9386 0.2693
0.5614 0.0614 0.7307
0.5614 0.4386 0.2693
0.9386 0.0614 0.2693
0.9386 0.4386 0.7307
```